1.
Calculated powder X-ray diffraction pattern
Compound: Sc2Se3O10
Radiation: Cu Kα (weighted mean of Kα1 and Kα2)
Structure: a structure optimized by DFT (PBE)

Atomic structure:
abc: 6.639 11.053 12.921
angles: 90.00 103.23 90.00
Space group P2_1/c (No. 14)
Inequivalent atoms, fractional coordinates:
Sc (0.199, 0.158, 0.409) [4 per cell]
Sc (0.263, 0.706, 0.534) [4 per cell]
Se (0.136, 0.649, 0.779) [4 per cell]
Se (0.288, 0.105, 0.044) [4 per cell]
Se (0.320, 0.530, 0.149) [4 per cell]
O (0.072, 0.196, 0.002) [4 per cell]
O (0.085, 0.221, 0.773) [4 per cell]
O (0.086, 0.511, 0.818) [4 per cell]
O (0.128, 0.634, 0.089) [4 per cell]
O (0.232, 0.527, 0.476) [4 per cell]
O (0.268, 0.729, 0.881) [4 per cell]
O (0.287, 0.634, 0.691) [4 per cell]
O (0.307, 0.074, 0.552) [4 per cell]
O (0.416, 0.185, 0.961) [4 per cell]
O (0.484, 0.127, 0.366) [4 per cell]

Peak list (6 most intense, 10° ≤ 2θ ≤ 80°, low angle first)
- 21.3 deg, d = 4.175 Å, rel. 349, hkl 1 2 -1
- 22.7 deg, d = 3.920 Å, rel. 1000, hkl 0 1 3
- 26.7 deg, d = 3.340 Å, rel. 593, hkl 0 2 3
- 27.6 deg, d = 3.232 Å, rel. 421, hkl 2 0 0
- 28.0 deg, d = 3.187 Å, rel. 619, hkl 2 0 -2
- 29.6 deg, d = 3.021 Å, rel. 521, hkl 1 3 1


2.
Calculated powder X-ray diffraction pattern
Compound: LiAuF4
Radiation: Cu Kα (weighted mean of Kα1 and Kα2)
Structure: a structure optimized by DFT (PBE)

Atomic structure:
abc: 4.988 6.642 10.157
angles: 90.00 92.83 90.00
Space group P2/c (No. 13)
Inequivalent atoms, fractional coordinates:
Li (0.000, 0.083, 0.250) [2 per cell]
Li (0.500, 0.400, 0.250) [2 per cell]
Au (0.000, 0.500, 0.000) [2 per cell]
Au (0.500, 0.000, 0.000) [2 per cell]
F (0.177, 0.346, 0.363) [4 per cell]
F (0.207, 0.094, 0.879) [4 per cell]
F (0.296, 0.418, 0.624) [4 per cell]
F (0.322, 0.142, 0.142) [4 per cell]

Peak list (6 most intense, 10° ≤ 2θ ≤ 80°, low angle first)
- 17.5 deg, d = 5.072 Å, rel. 791, hkl 0 0 2
- 22.3 deg, d = 3.985 Å, rel. 1000, hkl 1 1 0
- 26.8 deg, d = 3.321 Å, rel. 364, hkl 0 2 0
- 27.9 deg, d = 3.196 Å, rel. 693, hkl 1 1 -2
- 29.0 deg, d = 3.075 Å, rel. 494, hkl 1 1 2
- 32.2 deg, d = 2.779 Å, rel. 422, hkl 0 2 2


3.
Calculated powder X-ray diffraction pattern
Compound: H8PtO6
Radiation: Cu Kα (weighted mean of Kα1 and Kα2)
Structure: a structure optimized by DFT (PBE)

Atomic structure:
abc: 8.413 7.403 7.312
angles: 90.00 94.49 90.00
Space group Cc (No. 9)
Inequivalent atoms, fractional coordinates:
H (0.000, 0.012, 0.000) [4 per cell]
H (0.038, 0.458, 0.526) [4 per cell]
H (0.059, 0.342, 0.797) [4 per cell]
H (0.124, 0.317, 0.263) [4 per cell]
H (0.231, 0.074, 0.417) [4 per cell]
H (0.299, 0.123, 0.662) [4 per cell]
H (0.306, 0.376, 0.362) [4 per cell]
H (0.361, 0.336, 0.670) [4 per cell]
Pt (0.301, 0.253, 0.005) [4 per cell]
O (0.024, 0.335, 0.583) [4 per cell]
O (0.078, 0.344, 0.936) [4 per cell]
O (0.214, 0.002, 0.527) [4 per cell]
O (0.238, 0.281, 0.269) [4 per cell]
O (0.366, 0.220, 0.745) [4 per cell]
O (0.380, 0.485, 0.498) [4 per cell]

Peak list (6 most intense, 10° ≤ 2θ ≤ 80°, low angle first)
- 19.6 deg, d = 4.531 Å, rel. 1000, hkl 1 1 -1
- 20.6 deg, d = 4.310 Å, rel. 910, hkl 1 1 1
- 21.2 deg, d = 4.194 Å, rel. 477, hkl 2 0 0
- 24.0 deg, d = 3.701 Å, rel. 359, hkl 0 2 0
- 24.4 deg, d = 3.645 Å, rel. 379, hkl 0 0 2
- 39.7 deg, d = 2.268 Å, rel. 556, hkl 1 1 -3


Q: What is the formula in the second record?
A: LiAuF4